Diffraction record for PdAu2Se4. The XRD peak list is simulated, not measured: it uses a cell relaxed with PBE and CuKα.
Neutral-atom scattering factors, no anomalous dispersion.

Main lines, by angle (10° ≤ 2θ ≤ 80°):
2θ 22.50, d 3.951, rel. 51, (1 1 2); 2θ 25.01, d 3.561, rel. 41, (0 1 3); 2θ 27.75, d 3.215, rel. 51, (1 2 1); 2θ 28.38, d 3.144, rel. 84, (2 1 1); 2θ 29.45, d 3.033, rel. 25, (0 0 4); 2θ 34.44, d 2.604, rel. 40, (2 2 0); 2θ 44.65, d 2.030, rel. 36, (2 3 1); 2θ 45.93, d 1.976, rel. 100, (2 2 4); 2θ 48.44, d 1.879, rel. 28, (0 4 0); 2θ 50.54, d 1.806, rel. 25, (4 0 0)

Unit cell a=7.224 b=7.516 c=12.130 alpha=90.00 beta=90.00 gamma=90.00
Space group Imma (No. 74)
Symmetry-distinct sites (fractional):
Pd: 0.000 0.000 0.000
Au: 0.000 0.250 0.351
Au: 0.250 0.250 0.750
Se: 0.000 0.018 0.791
Se: 0.239 0.250 0.003

---

Diffraction record for Tb3Si6Pd2Au. The XRD peak list is simulated, not measured: it uses a cell relaxed with PBE and CuKα.
Neutral-atom scattering factors, no anomalous dispersion.

Main lines, by angle (10° ≤ 2θ ≤ 80°):
2θ 21.51, d 4.131, rel. 30, (0 0 2); 2θ 28.26, d 3.158, rel. 45, (0 1 2); 2θ 31.63, d 2.828, rel. 100, (1 1 0); 2θ 37.46, d 2.401, rel. 18, (0 1 3); 2θ 38.58, d 2.334, rel. 85, (1 1 2); 2θ 42.92, d 2.107, rel. 23, (2 0 2); 2θ 47.78, d 1.903, rel. 21, (0 1 4); 2θ 56.34, d 1.633, rel. 19, (3 0 0); 2θ 61.01, d 1.519, rel. 23, (0 3 2); 2θ 66.07, d 1.414, rel. 18, (2 2 0)

Unit cell a=5.6569 b=5.6569 c=8.2630 alpha=90.00 beta=90.00 gamma=120.00
Space group P-3m1 (No. 164)
Symmetry-distinct sites (fractional):
Tb: 0.0000 0.0000 0.0000
Tb: 0.3333 0.6667 0.5989
Si: 0.1891 0.3782 0.2702
Pd: 0.3333 0.6667 0.0185
Au: 0.0000 0.0000 0.5000

---

Diffraction record for SmPd3Au4. The XRD peak list is simulated, not measured: it uses a cell relaxed with PBE and CuKα.
Neutral-atom scattering factors, no anomalous dispersion.

Main lines, by angle (10° ≤ 2θ ≤ 80°):
2θ 30.03, d 2.975, rel. 6, (1 1 -1); 2θ 37.26, d 2.413, rel. 100, (3 1 1); 2θ 42.88, d 2.109, rel. 17, (2 0 -2); 2θ 43.11, d 2.098, rel. 17, (0 2 0); 2θ 43.89, d 2.063, rel. 15, (8 0 0); 2θ 62.42, d 1.488, rel. 11, (2 2 -2); 2θ 63.21, d 1.471, rel. 10, (8 2 0); 2θ 74.78, d 1.270, rel. 7, (1 1 3); 2θ 74.89, d 1.268, rel. 7, (7 1 -3); 2θ 75.16, d 1.264, rel. 13, (3 3 1)

Unit cell a=17.023 b=4.197 c=4.219 alpha=90.00 beta=104.22 gamma=90.00
Space group C2/m (No. 12)
Symmetry-distinct sites (fractional):
Sm: 0.000 0.000 0.000
Pd: 0.000 0.500 0.500
Pd: 0.247 0.500 0.747
Au: 0.132 0.000 0.632
Au: 0.133 0.500 0.133